[1]
Structure and theoretical powder diffraction line list of CsTeAu3S (DFT lattice parameters and positions (PBE); Cu Kα (weighted mean of Kα1 and Kα2)).
Intensities are scaled so that the largest is 100.

```
6
Lattice="6.638 0.000 0.000 -3.319 5.749 0.000 0.000 0.000 5.562" Properties=species:S:1:pos:R:3 pbc="T T T"
Cs 0.000 0.000 0.000
Te 3.319 1.916 4.364
Au -1.568 2.927 2.716
Au 1.568 2.927 2.716
Au 0.000 5.643 2.716
S 0.000 3.833 1.184
```

Peak list (12 most intense, 2θ = 10–90°, low angle first)
| 2θ (°) | I (rel.) |
| --- | --- |
| 15.4 | 21.4 |
| 15.9 | 52.2 |
| 22.2 | 100.0 |
| 31.1 | 74.4 |
| 31.4 | 48.5 |
| 32.2 | 19.1 |
| 35.1 | 65.4 |
| 44.8 | 30.9 |
| 45.4 | 80.1 |
| 50.4 | 15.5 |
| 55.4 | 26.2 |
| 74.3 | 17.9 |



[2]
Structure and theoretical powder diffraction line list of CsZrAuS3 (DFT lattice parameters and positions (PBE); Cu Kα (weighted mean of Kα1 and Kα2)).
Intensities are scaled so that the largest is 100.

```
12
Lattice="8.850 0.000 0.000 0.000 3.886 0.000 -4.186 0.000 9.188" Properties=species:S:1:pos:R:3 pbc="T T T"
Cs 1.041 0.971 2.487
Cs 3.624 2.914 6.700
Zr -0.734 2.914 7.718
Zr 5.399 0.971 1.470
Au -1.907 0.971 5.637
Au 6.571 2.914 3.551
S -2.501 0.971 8.000
S -0.138 2.914 5.245
S 3.643 2.914 1.183
S 1.022 0.971 8.005
S 4.803 0.971 3.943
S 7.166 2.914 1.188
```

Peak list (12 most intense, 2θ = 10–90°, low angle first)
| 2θ (°) | I (rel.) |
| --- | --- |
| 11.0 | 45.1 |
| 11.2 | 100.0 |
| 22.5 | 56.6 |
| 28.9 | 30.7 |
| 29.2 | 37.6 |
| 30.6 | 45.3 |
| 32.0 | 37.5 |
| 35.3 | 39.3 |
| 35.4 | 27.5 |
| 36.2 | 49.5 |
| 37.4 | 25.5 |
| 48.2 | 27.7 |



[3]
Structure and theoretical powder diffraction line list of CsZrAu3S4 (DFT lattice parameters and positions (PBE); Cu Kα (weighted mean of Kα1 and Kα2)).
Intensities are scaled so that the largest is 100.

```
18
Lattice="6.146 0.000 0.000 0.000 7.786 0.000 -2.878 0.000 10.118" Properties=species:S:1:pos:R:3 pbc="T T T"
Cs 0.264 1.947 3.821
Cs 3.005 5.840 6.296
Zr -1.491 1.947 8.149
Zr 4.759 5.840 1.969
Au 1.744 4.365 0.121
Au 1.744 7.314 0.121
Au 1.747 5.840 2.648
Au 1.522 1.947 7.469
Au 1.524 0.472 9.997
Au 1.524 3.421 9.997
S 0.314 1.947 0.297
S -0.149 5.840 4.067
S -0.064 3.933 7.865
S -0.064 7.746 7.865
S 3.333 0.040 2.252
S 3.333 3.853 2.252
S 3.418 1.947 6.051
S 2.955 5.840 9.821
```

Peak list (12 most intense, 2θ = 10–90°, low angle first)
| 2θ (°) | I (rel.) |
| --- | --- |
| 14.4 | 88.4 |
| 19.0 | 78.0 |
| 24.5 | 73.9 |
| 26.4 | 43.9 |
| 27.5 | 38.6 |
| 28.9 | 100.0 |
| 32.4 | 41.4 |
| 36.5 | 44.9 |
| 37.9 | 40.4 |
| 41.2 | 56.2 |
| 41.7 | 55.0 |
| 46.6 | 51.3 |



[4]
Structure and theoretical powder diffraction line list of Cs2ZrAu2Se4 (DFT lattice parameters and positions (PBE); Cu Kα (weighted mean of Kα1 and Kα2)).
Intensities are scaled so that the largest is 100.

```
9
Lattice="3.138 -7.258 0.000 3.138 7.258 0.000 0.000 0.000 6.272" Properties=species:S:1:pos:R:3 pbc="T T T"
Cs 1.569 3.629 1.482
Cs 1.569 -3.629 4.790
Zr 0.000 0.000 3.136
Au 0.000 0.000 0.000
Au 3.138 0.000 3.136
Se 1.479 1.513 4.607
Se 1.479 -1.513 1.664
Se 4.796 1.513 1.664
Se 4.796 -1.513 4.607
```

Peak list (12 most intense, 2θ = 10–90°, low angle first)
| 2θ (°) | I (rel.) |
| --- | --- |
| 12.2 | 37.3 |
| 20.9 | 43.3 |
| 24.5 | 18.0 |
| 27.3 | 100.0 |
| 31.1 | 79.9 |
| 37.0 | 21.9 |
| 37.9 | 26.9 |
| 40.7 | 49.6 |
| 47.5 | 51.9 |
| 49.7 | 36.4 |
| 66.6 | 16.5 |
| 68.1 | 16.9 |



[5]
Structure and theoretical powder diffraction line list of CsSi5Au3 (DFT lattice parameters and positions (PBE); Cu Kα (weighted mean of Kα1 and Kα2)).
Intensities are scaled so that the largest is 100.

```
9
Lattice="5.808 0.000 0.000 -2.904 5.030 0.000 0.000 0.000 7.580" Properties=species:S:1:pos:R:3 pbc="T T T"
Cs 0.000 0.000 0.000
Si 0.000 0.000 3.790
Si 0.000 3.353 1.786
Si 0.000 3.353 5.795
Si 2.904 1.677 1.786
Si 2.904 1.677 5.795
Au -1.452 2.515 3.790
Au 2.904 0.000 3.790
Au 1.452 2.515 3.790
```

Peak list (12 most intense, 2θ = 10–90°, low angle first)
| 2θ (°) | I (rel.) |
| --- | --- |
| 11.7 | 100.0 |
| 21.2 | 60.5 |
| 23.5 | 37.3 |
| 33.0 | 22.7 |
| 35.7 | 46.6 |
| 37.7 | 41.6 |
| 39.9 | 14.0 |
| 43.2 | 74.3 |
| 49.4 | 13.3 |
| 51.3 | 16.1 |
| 61.2 | 20.0 |
| 64.1 | 15.9 |



[6]
Structure and theoretical powder diffraction line list of Cs3Sn4Au (DFT lattice parameters and positions (PBE); Cu Kα (weighted mean of Kα1 and Kα2)).
Intensities are scaled so that the largest is 100.

```
16
Lattice="7.550 0.000 0.000 0.000 13.805 0.000 0.000 0.000 6.701" Properties=species:S:1:pos:R:3 pbc="T T T"
Cs 1.887 0.141 1.064
Cs 1.887 3.451 3.741
Cs 1.887 6.761 1.064
Cs 5.662 7.043 5.637
Cs 5.662 10.353 2.960
Cs 5.662 13.664 5.637
Sn 0.318 10.353 6.366
Sn 1.887 8.787 4.404
Sn 1.887 11.920 4.404
Sn 3.456 10.353 6.366
Sn 4.093 3.451 0.335
Sn 5.662 1.885 2.297
Sn 5.662 5.018 2.297
Sn 7.231 3.451 0.335
Au 1.887 10.353 2.038
Au 5.662 3.451 4.663
```

Peak list (12 most intense, 2θ = 10–90°, low angle first)
| 2θ (°) | I (rel.) |
| --- | --- |
| 12.8 | 72.0 |
| 13.4 | 96.3 |
| 23.6 | 59.9 |
| 25.8 | 43.1 |
| 27.1 | 31.4 |
| 29.1 | 44.5 |
| 30.1 | 100.0 |
| 31.5 | 82.7 |
| 33.5 | 51.2 |
| 42.7 | 50.6 |
| 46.7 | 37.1 |
| 48.2 | 39.9 |



[7]
Structure and theoretical powder diffraction line list of Cs2Te2Au (DFT lattice parameters and positions (PBE); Cu Kα (weighted mean of Kα1 and Kα2)).
Intensities are scaled so that the largest is 100.

```
5
Lattice="4.229 0.000 0.000 2.112 6.810 0.000 0.015 1.530 7.526" Properties=species:S:1:pos:R:3 pbc="T T T"
Cs 1.066 1.604 1.631
Cs 5.290 6.735 5.895
Te 1.064 3.046 5.255
Te 5.292 5.293 2.271
Au 3.178 4.170 3.763
```

Peak list (12 most intense, 2θ = 10–90°, low angle first)
| 2θ (°) | I (rel.) |
| --- | --- |
| 11.8 | 64.2 |
| 15.9 | 36.3 |
| 24.4 | 27.3 |
| 24.7 | 57.5 |
| 27.0 | 42.4 |
| 29.1 | 99.2 |
| 32.1 | 36.3 |
| 33.0 | 27.9 |
| 33.5 | 100.0 |
| 42.8 | 28.6 |
| 43.8 | 27.0 |
| 51.8 | 28.3 |



[8]
Structure and theoretical powder diffraction line list of Cu7Au3 (DFT lattice parameters and positions (PBE); Cu Kα (weighted mean of Kα1 and Kα2)).
Intensities are scaled so that the largest is 100.

```
40
Lattice="6.564 0.000 0.000 -0.122 8.970 0.000 -1.131 -2.810 9.419" Properties=species:S:1:pos:R:3 pbc="T T T"
Cu 0.000 0.000 0.000
Cu -0.566 -1.405 4.710
Cu -0.166 8.095 2.348
Cu -0.295 5.221 5.486
Cu 0.094 3.098 6.854
Cu 0.745 1.567 1.990
Cu 0.733 4.294 1.857
Cu 0.384 1.399 8.850
Cu 0.577 5.327 7.885
Cu 0.711 -1.229 8.678
Cu 1.500 0.026 4.177
Cu 1.530 -1.809 6.207
Cu 2.130 4.552 5.968
Cu 2.769 5.815 1.438
Cu 2.319 1.913 5.961
Cu 2.992 4.248 3.458
Cu 2.542 0.345 7.981
Cu 3.181 1.609 3.451
Cu 3.781 7.969 3.212
Cu 3.811 6.134 5.243
Cu 4.600 7.389 0.741
Cu 4.734 0.833 1.534
Cu 4.927 4.761 0.570
Cu 4.578 1.866 7.562
Cu 4.566 4.593 7.429
Cu 5.217 3.062 2.565
Cu 5.606 0.939 3.933
Cu 5.477 -1.935 7.071
Au 0.442 6.408 0.177
Au 0.114 0.451 6.459
Au 0.767 3.002 4.204
Au 1.495 6.348 3.692
Au 2.241 8.591 1.197
Au 3.000 2.949 1.168
Au 2.311 3.211 8.251
Au 3.070 -2.431 8.222
Au 3.816 -0.188 5.728
Au 4.544 3.158 5.215
Au 5.197 5.709 2.960
Au 4.869 -0.248 9.242
```

Peak list (12 most intense, 2θ = 10–90°, low angle first)
| 2θ (°) | I (rel.) |
| --- | --- |
| 29.7 | 17.1 |
| 29.9 | 19.6 |
| 30.1 | 53.4 |
| 30.3 | 16.5 |
| 35.5 | 34.7 |
| 42.4 | 100.0 |
| 42.9 | 43.0 |
| 43.0 | 21.0 |
| 43.2 | 29.4 |
| 43.4 | 47.0 |
| 43.5 | 22.2 |
| 43.7 | 28.5 |



[9]
Structure and theoretical powder diffraction line list of CuAu (DFT lattice parameters and positions (PBE); Cu Kα (weighted mean of Kα1 and Kα2)).
Intensities are scaled so that the largest is 100.

```
20
Lattice="-1.836 2.011 20.189 1.836 -2.011 20.189 1.836 2.011 -20.189" Properties=species:S:1:pos:R:3 pbc="T T T"
Cu 1.836 -1.006 13.120
Cu 1.836 -1.006 17.154
Cu 0.000 1.006 1.010
Cu 0.000 1.006 5.049
Cu 0.000 1.006 9.145
Cu 1.836 1.006 11.045
Cu 1.836 1.006 15.141
Cu 1.836 1.006 19.180
Cu 0.000 3.017 3.036
Cu 0.000 3.017 7.069
Au 1.836 1.006 -9.040
Au 1.836 1.006 -5.046
Au 1.836 1.006 -1.011
Au 1.836 1.006 3.028
Au 1.836 1.006 7.056
Au 0.000 1.006 13.134
Au 0.000 1.006 17.162
Au 0.000 1.006 21.200
Au 0.000 1.006 25.236
Au 0.000 1.006 29.229
```

Peak list (12 most intense, 2θ = 10–90°, low angle first)
| 2θ (°) | I (rel.) |
| --- | --- |
| 24.3 | 16.9 |
| 40.1 | 100.0 |
| 44.9 | 18.0 |
| 45.1 | 17.9 |
| 49.7 | 13.4 |
| 65.5 | 11.5 |
| 69.2 | 11.5 |
| 69.3 | 9.8 |
| 79.5 | 13.3 |
| 79.8 | 13.4 |
| 86.5 | 11.1 |
| 86.6 | 11.1 |



[10]
Structure and theoretical powder diffraction line list of CuAu3 (DFT lattice parameters and positions (PBE); Cu Kα (weighted mean of Kα1 and Kα2)).
Intensities are scaled so that the largest is 100.

```
8
Lattice="4.726 0.000 0.000 0.000 5.677 0.000 0.000 0.000 4.973" Properties=species:S:1:pos:R:3 pbc="T T T"
Cu 1.181 1.419 0.835
Cu 3.544 4.257 4.139
Au 1.181 0.005 3.323
Au 1.181 2.833 3.323
Au 1.181 4.257 0.780
Au 3.544 1.419 4.193
Au 3.544 2.844 1.650
Au 3.544 5.671 1.650
```

Peak list (12 most intense, 2θ = 10–90°, low angle first)
| 2θ (°) | I (rel.) |
| --- | --- |
| 36.1 | 11.2 |
| 36.4 | 24.8 |
| 38.1 | 42.4 |
| 41.0 | 53.0 |
| 41.3 | 100.0 |
| 53.7 | 16.4 |
| 65.2 | 17.5 |
| 70.8 | 10.7 |
| 71.0 | 20.4 |
| 78.1 | 21.2 |
| 78.6 | 10.5 |
| 80.5 | 15.3 |



[11]
Structure and theoretical powder diffraction line list of Er2CuAu3 (DFT lattice parameters and positions (PBE); Cu Kα (weighted mean of Kα1 and Kα2)).
Intensities are scaled so that the largest is 100.

```
6
Lattice="3.682 0.000 0.000 0.000 3.682 0.000 0.000 0.000 8.904" Properties=species:S:1:pos:R:3 pbc="T T T"
Er 0.000 0.000 0.000
Er 1.841 1.841 4.414
Cu 1.841 1.841 1.496
Au 0.000 0.000 2.870
Au 0.000 0.000 5.885
Au 1.841 1.841 7.499
```

Peak list (12 most intense, 2θ = 10–90°, low angle first)
| 2θ (°) | I (rel.) |
| --- | --- |
| 26.2 | 3.5 |
| 31.5 | 5.7 |
| 34.4 | 70.9 |
| 39.0 | 100.0 |
| 49.5 | 25.7 |
| 62.6 | 6.0 |
| 64.7 | 45.3 |
| 72.6 | 8.3 |
| 73.4 | 15.2 |
| 82.9 | 11.8 |
| 83.7 | 11.2 |
| 85.6 | 10.9 |



[12]
Structure and theoretical powder diffraction line list of Er2TmGa3CuAu2 (DFT lattice parameters and positions (PBE); Cu Kα (weighted mean of Kα1 and Kα2)).
Intensities are scaled so that the largest is 100.

```
9
Lattice="3.871 0.000 0.000 0.000 6.309 3.648 0.000 -6.309 3.648" Properties=species:S:1:pos:R:3 pbc="T T T"
Er 0.000 -3.762 3.648
Er 0.000 3.762 3.648
Tm 0.000 0.000 4.413
Ga 1.935 -1.504 2.345
Ga 1.935 1.504 2.345
Ga 1.935 0.000 7.033
Cu 0.000 0.000 1.481
Au 1.935 -2.091 5.120
Au 1.935 2.091 5.120
```

Peak list (12 most intense, 2θ = 10–90°, low angle first)
| 2θ (°) | I (rel.) |
| --- | --- |
| 14.0 | 18.8 |
| 24.4 | 19.3 |
| 33.8 | 100.0 |
| 36.7 | 67.0 |
| 37.7 | 33.1 |
| 43.0 | 32.0 |
| 44.6 | 20.6 |
| 46.9 | 20.3 |
| 61.7 | 15.7 |
| 65.5 | 18.3 |
| 69.3 | 20.0 |
| 72.8 | 18.9 |



[13]
Structure and theoretical powder diffraction line list of Ho2ErMg3CuAu2 (DFT lattice parameters and positions (PBE); Cu Kα (weighted mean of Kα1 and Kα2)).
Intensities are scaled so that the largest is 100.

```
9
Lattice="4.027 0.000 0.000 0.000 6.538 3.781 0.000 -6.538 3.781" Properties=species:S:1:pos:R:3 pbc="T T T"
Ho 0.000 -3.857 3.781
Ho 0.000 3.857 3.781
Er 0.000 0.000 4.651
Mg 2.014 -1.576 2.464
Mg 2.014 1.576 2.464
Mg 2.014 0.000 7.287
Cu 0.000 0.000 1.554
Au 2.014 -2.172 5.329
Au 2.014 2.172 5.329
```

Peak list (12 most intense, 2θ = 10–90°, low angle first)
| 2θ (°) | I (rel.) |
| --- | --- |
| 13.5 | 42.5 |
| 23.5 | 36.5 |
| 32.5 | 100.0 |
| 35.3 | 71.4 |
| 36.3 | 22.1 |
| 41.4 | 30.8 |
| 42.9 | 21.2 |
| 45.0 | 18.2 |
| 50.3 | 18.4 |
| 55.5 | 16.1 |
| 62.8 | 18.0 |
| 66.5 | 18.7 |